Pr8Co3RhI4: calculated powder diffractogram (Cu Kα, 1.54184 Å), based on DFT lattice parameters and positions (GGA-PBE).
Neutral-atom scattering factors, no anomalous dispersion.

Main lines, in order of falling intensity (2θ = 10–90°):
d_spacing, two_theta, Rel. int.
3.087, 28.92, 100
2.061, 43.93, 38
2.329, 38.66, 25
2.889, 30.95, 24
1.714, 53.45, 18
1.645, 55.88, 17
1.318, 71.60, 14
2.732, 32.78, 13
2.504, 35.87, 10
1.671, 54.94, 9

Structural model:
a b c (Å): 8.245 8.245 9.478
angles (deg): 115.78 115.78 60.00
Element x y z (fractional)
Pr  0.221  0.733  0.684
Pr  0.228  0.228  0.682
Pr  0.267  0.779  0.316
Pr  0.268  0.268  0.317
Pr  0.732  0.732  0.683
Pr  0.733  0.221  0.684
Pr  0.772  0.772  0.318
Pr  0.779  0.267  0.316
Co  0.000  0.000  0.500
Co  0.000  0.500  0.500
Co  0.500  0.000  0.500
Rh  0.500  0.500  0.500
I  0.000  0.000  0.000
I  0.000  0.500  0.000
I  0.500  0.000  0.000
I  0.500  0.500  0.000

Rb2Co2I7: calculated powder diffractogram (Cu Kα, 1.54184 Å), based on DFT lattice parameters and positions (GGA-PBE).
Neutral-atom scattering factors, no anomalous dispersion.

Main lines, in order of falling intensity (2θ = 10–90°):
d_spacing, two_theta, Rel. int.
3.680, 24.18, 100
3.737, 23.81, 85
4.847, 18.30, 69
4.953, 17.91, 59
3.497, 25.47, 48
4.436, 20.01, 48
3.191, 27.96, 45
3.531, 25.22, 39
3.358, 26.55, 36
2.404, 37.41, 35

Structural model:
a b c (Å): 6.981 17.439 9.197
angles (deg): 90.00 100.43 90.00
Element x y z (fractional)
Rb  0.121  0.157  0.466
Rb  0.121  0.343  0.966
Rb  0.879  0.657  0.034
Rb  0.879  0.843  0.534
Co  0.318  0.603  0.626
Co  0.318  0.897  0.126
Co  0.682  0.103  0.874
Co  0.682  0.397  0.374
I  0.009  0.641  0.453
I  0.009  0.859  0.953
I  0.241  0.547  0.866
I  0.241  0.953  0.366
I  0.475  0.221  0.803
I  0.475  0.279  0.303
I  0.500  0.000  0.000
I  0.500  0.500  0.500
I  0.525  0.721  0.697
I  0.525  0.779  0.197
I  0.759  0.047  0.634
I  0.759  0.453  0.134
I  0.991  0.141  0.047
I  0.991  0.359  0.547

CoSI: calculated powder diffractogram (Cu Kα, 1.54184 Å), based on DFT lattice parameters and positions (GGA-PBE).
Neutral-atom scattering factors, no anomalous dispersion.

Main lines, in order of falling intensity (2θ = 10–90°):
d_spacing, two_theta, Rel. int.
3.966, 22.42, 100
2.820, 31.74, 53
2.058, 43.99, 41
1.732, 52.86, 23
2.195, 41.13, 23
2.330, 38.63, 20
2.763, 32.41, 17
1.622, 56.75, 15
3.086, 28.93, 15
2.372, 37.93, 14

Structural model:
a b c (Å): 3.555 4.390 9.258
angles (deg): 90.00 90.00 90.00
Element x y z (fractional)
Co  0.250  0.250  0.107
Co  0.750  0.750  0.893
S  0.250  0.750  0.044
S  0.750  0.250  0.956
I  0.250  0.750  0.689
I  0.750  0.250  0.311

TiCoSb2I: calculated powder diffractogram (Cu Kα, 1.54184 Å), based on DFT lattice parameters and positions (GGA-PBE).
Neutral-atom scattering factors, no anomalous dispersion.

Main lines, in order of falling intensity (2θ = 10–90°):
d_spacing, two_theta, Rel. int.
2.885, 30.99, 100
2.433, 36.94, 57
1.791, 50.98, 44
2.647, 33.86, 36
4.867, 18.23, 29
1.478, 62.89, 25
1.443, 64.60, 21
1.721, 53.23, 19
1.570, 58.80, 16
5.294, 16.75, 15

Structural model:
a b c (Å): 4.867 4.867 5.294
angles (deg): 90.00 90.00 90.00
Element x y z (fractional)
Ti  0.000  0.000  0.000
Co  0.500  0.500  0.500
Sb  0.000  0.500  0.500
Sb  0.500  0.000  0.500
I  0.500  0.500  0.000

Co3Se3I: calculated powder diffractogram (Cu Kα, 1.54184 Å), based on DFT lattice parameters and positions (GGA-PBE).
Neutral-atom scattering factors, no anomalous dispersion.

Main lines, in order of falling intensity (2θ = 10–90°):
d_spacing, two_theta, Rel. int.
3.796, 23.43, 100
2.192, 41.19, 74
1.613, 57.09, 54
4.037, 22.02, 43
2.383, 37.75, 42
2.018, 44.91, 34
7.592, 11.66, 30
2.969, 30.09, 28
1.926, 47.19, 22
2.870, 31.17, 13

Structural model:
a b c (Å): 8.767 8.767 4.766
angles (deg): 90.00 90.00 120.00
Element x y z (fractional)
Co  0.160  0.319  0.250
Co  0.160  0.840  0.250
Co  0.319  0.160  0.750
Co  0.681  0.840  0.250
Co  0.840  0.160  0.750
Co  0.840  0.681  0.750
Se  0.141  0.282  0.750
Se  0.141  0.859  0.750
Se  0.282  0.141  0.250
Se  0.718  0.859  0.750
Se  0.859  0.141  0.250
Se  0.859  0.718  0.250
I  0.333  0.667  0.250
I  0.667  0.333  0.750

Sm4CoI5: calculated powder diffractogram (Cu Kα, 1.54184 Å), based on DFT lattice parameters and positions (GGA-PBE).
Neutral-atom scattering factors, no anomalous dispersion.

Main lines, in order of falling intensity (2θ = 10–90°):
d_spacing, two_theta, Rel. int.
3.046, 29.32, 100
3.195, 27.93, 50
2.210, 40.83, 33
2.199, 41.05, 30
8.795, 10.06, 29
2.811, 31.84, 23
2.066, 43.83, 18
1.735, 52.78, 17
2.255, 39.98, 16
3.102, 28.78, 14

Structural model:
a b c (Å): 10.044 10.044 9.021
angles (deg): 102.55 102.55 23.74
Element x y z (fractional)
Sm  0.000  0.000  0.199
Sm  0.000  0.000  0.801
Sm  0.359  0.359  0.926
Sm  0.641  0.641  0.074
Co  0.500  0.500  0.000
I  0.167  0.167  0.346
I  0.175  0.175  0.827
I  0.500  0.500  0.500
I  0.825  0.825  0.173
I  0.833  0.833  0.654

Tb2Co2I: calculated powder diffractogram (Cu Kα, 1.54184 Å), based on DFT lattice parameters and positions (GGA-PBE).
Neutral-atom scattering factors, no anomalous dispersion.

Main lines, in order of falling intensity (2θ = 10–90°):
d_spacing, two_theta, Rel. int.
2.669, 33.58, 100
1.978, 45.89, 42
3.425, 26.01, 22
1.589, 58.05, 20
2.185, 41.32, 19
1.239, 76.99, 18
1.449, 64.30, 15
3.358, 26.54, 14
8.513, 10.39, 12
1.525, 60.75, 11

Structural model:
a b c (Å): 3.955 3.955 17.026
angles (deg): 90.00 90.00 120.00
Element x y z (fractional)
Tb  0.000  0.000  0.103
Tb  0.000  0.000  0.397
Tb  0.000  0.000  0.603
Tb  0.000  0.000  0.897
Co  0.333  0.667  0.002
Co  0.333  0.667  0.498
Co  0.667  0.333  0.502
Co  0.667  0.333  0.998
I  0.333  0.667  0.750
I  0.667  0.333  0.250

CoTe2I: calculated powder diffractogram (Cu Kα, 1.54184 Å), based on DFT lattice parameters and positions (GGA-PBE).
Neutral-atom scattering factors, no anomalous dispersion.

Main lines, in order of falling intensity (2θ = 10–90°):
d_spacing, two_theta, Rel. int.
3.148, 28.35, 100
2.619, 34.23, 90
1.969, 46.10, 59
2.130, 42.45, 56
3.411, 26.13, 40
1.596, 57.76, 28
8.179, 10.82, 27
2.726, 32.85, 24
1.475, 63.02, 22
1.574, 58.66, 19

Structural model:
a b c (Å): 3.938 3.938 8.179
angles (deg): 90.00 90.00 120.00
Element x y z (fractional)
Co  0.000  0.000  0.000
Te  0.333  0.667  0.866
Te  0.667  0.333  0.163
I  0.333  0.667  0.503

Tm4CoI2: calculated powder diffractogram (Cu Kα, 1.54184 Å), based on DFT lattice parameters and positions (GGA-PBE).
Neutral-atom scattering factors, no anomalous dispersion.

Main lines, in order of falling intensity (2θ = 10–90°):
d_spacing, two_theta, Rel. int.
2.873, 31.13, 100
2.829, 31.63, 66
2.497, 35.97, 46
2.647, 33.86, 40
2.787, 32.11, 37
2.116, 42.74, 28
5.443, 16.29, 27
3.165, 28.20, 26
1.798, 50.78, 26
3.318, 26.87, 25

Structural model:
a b c (Å): 6.127 3.947 11.155
angles (deg): 90.00 91.87 90.00
Element x y z (fractional)
Tm  0.149  0.000  0.376
Tm  0.348  0.500  0.627
Tm  0.652  0.500  0.373
Tm  0.851  0.000  0.624
Co  0.000  0.500  0.500
I  0.240  0.000  0.838
I  0.760  0.000  0.162

Y6CoI10: calculated powder diffractogram (Cu Kα, 1.54184 Å), based on DFT lattice parameters and positions (GGA-PBE).
Neutral-atom scattering factors, no anomalous dispersion.

Main lines, in order of falling intensity (2θ = 10–90°):
d_spacing, two_theta, Rel. int.
3.186, 28.00, 100
3.073, 29.05, 98
3.051, 29.27, 94
3.590, 24.80, 88
2.204, 40.95, 35
2.156, 41.91, 33
2.175, 41.52, 32
2.210, 40.84, 32
2.197, 41.08, 31
2.220, 40.64, 30

Structural model:
a b c (Å): 7.720 9.630 9.734
angles (deg): 106.98 96.64 104.16
Element x y z (fractional)
Y  0.035  0.231  0.422
Y  0.115  0.543  0.263
Y  0.342  0.621  0.662
Y  0.658  0.379  0.338
Y  0.885  0.457  0.737
Y  0.965  0.769  0.578
Co  0.000  0.500  0.500
I  0.087  0.873  0.321
I  0.228  0.246  0.158
I  0.255  0.586  0.960
I  0.340  0.947  0.772
I  0.454  0.312  0.592
I  0.546  0.688  0.408
I  0.660  0.053  0.228
I  0.745  0.414  0.040
I  0.772  0.754  0.842
I  0.913  0.127  0.679

In2Co: calculated powder diffractogram (Cu Kα, 1.54184 Å), based on DFT lattice parameters and positions (GGA-PBE).
Neutral-atom scattering factors, no anomalous dispersion.

Main lines, in order of falling intensity (2θ = 10–90°):
d_spacing, two_theta, Rel. int.
2.048, 44.22, 100
2.234, 40.37, 98
2.670, 33.57, 98
2.534, 35.42, 79
2.518, 35.65, 69
2.084, 43.43, 69
2.825, 31.67, 67
2.459, 36.54, 60
1.514, 61.21, 37
2.305, 39.09, 36

Structural model:
a b c (Å): 10.105 9.322 5.401
angles (deg): 82.03 66.01 31.96
Element x y z (fractional)
In  0.037  0.037  0.213
In  0.213  0.213  0.037
In  0.215  0.535  0.215
In  0.465  0.785  0.465
In  0.535  0.215  0.535
In  0.785  0.465  0.785
In  0.787  0.787  0.963
In  0.963  0.963  0.787
Co  0.247  0.247  0.503
Co  0.497  0.497  0.753
Co  0.503  0.503  0.247
Co  0.753  0.753  0.497

In5Co: calculated powder diffractogram (Cu Kα, 1.54184 Å), based on DFT lattice parameters and positions (GGA-PBE).
Neutral-atom scattering factors, no anomalous dispersion.

Main lines, in order of falling intensity (2θ = 10–90°):
d_spacing, two_theta, Rel. int.
2.388, 37.67, 100
2.775, 32.26, 47
2.549, 35.21, 39
2.189, 41.24, 38
3.368, 26.47, 35
2.136, 42.31, 31
3.980, 22.34, 23
1.401, 66.74, 22
1.637, 56.19, 19
1.966, 46.18, 19

Structural model:
a b c (Å): 3.134 21.895 4.272
angles (deg): 90.00 90.00 90.00
Element x y z (fractional)
In  0.000  0.000  0.000
In  0.000  0.105  0.500
In  0.000  0.313  0.000
In  0.000  0.687  0.000
In  0.000  0.895  0.500
In  0.500  0.187  0.000
In  0.500  0.395  0.500
In  0.500  0.500  0.000
In  0.500  0.605  0.500
In  0.500  0.813  0.000
Co  0.000  0.500  0.500
Co  0.500  0.000  0.500